Simulated XRD peak list of Te3Mo5O18 for CuKα, from a GGA+U-relaxed structure.

The 8 most intense peaks (2θ = 15–90°), in order of rising 2θ:
(hkl)  2θ/deg  intensity
0 0 2  15.7  25
0 2 1  20.2  58
3 1 0  20.4  100
2 2 -1  22.8  55
4 0 0  24.3  26
0 0 4  31.6  30
1 3 -2  32.3  32
2 2 3  34.2  39

Cell: 14.9425 9.5385 11.4956 Å, 90.00 100.26 90.00°
Space group C2 (No. 5)
One atom of each set of equivalent atoms:
Te 0.0091 0.0000 0.2635 (multiplicity 4)
Te 0.1635 0.6148 0.0517 (multiplicity 4)
Te 0.1728 0.4548 0.5389 (multiplicity 4)
Mo 0.0000 0.1626 0.5000 (multiplicity 2)
Mo 0.0000 0.8577 0.0000 (multiplicity 2)
Mo 0.1434 0.1796 0.0266 (multiplicity 4)
Mo 0.1445 0.8291 0.5215 (multiplicity 4)
Mo 0.1473 0.3199 0.2824 (multiplicity 4)
Mo 0.1543 0.6864 0.7753 (multiplicity 4)
O 0.0516 0.1527 0.6862 (multiplicity 4)
O 0.0685 0.0102 0.9351 (multiplicity 4)
O 0.0764 0.4507 0.2207 (multiplicity 4)
O 0.0796 0.0001 0.4386 (multiplicity 4)
O 0.0813 0.3194 0.9649 (multiplicity 4)
O 0.0821 0.6922 0.4502 (multiplicity 4)
O 0.0876 0.7772 0.1211 (multiplicity 4)
O 0.0924 0.5433 0.7131 (multiplicity 4)
O 0.0941 0.7276 0.9158 (multiplicity 4)
O 0.0975 0.1420 0.1913 (multiplicity 4)
O 0.0981 0.8555 0.6779 (multiplicity 4)
O 0.1003 0.3023 0.4457 (multiplicity 4)
O 0.2235 0.2021 0.8944 (multiplicity 4)
O 0.2243 0.3104 0.1530 (multiplicity 4)
O 0.2256 0.8478 0.3908 (multiplicity 4)
O 0.2294 0.6917 0.6345 (multiplicity 4)
O 0.2302 0.5669 0.9120 (multiplicity 4)
O 0.2324 0.4604 0.3991 (multiplicity 4)